The following is a simulated X-ray diffraction stick pattern of AcNd5Sm5. It was derived from DFT lattice parameters and positions (PBE), using Cu Kα X-rays.
Kinematic intensities with the Lorentz-polarization factor, no thermal factor.

Largest 10 diffraction maxima, sorted by position, 2θ from 15° to 90°:
hkl 0 0 2, 23.44 deg, d = 3.796 Å, intensity 302
hkl 1 1 2, 28.27 deg, d = 3.157 Å, intensity 907
hkl 1 5 0, 29.56 deg, d = 3.022 Å, intensity 1000
hkl 2 0 0, 29.79 deg, d = 2.999 Å, intensity 884
hkl 0 4 2, 31.18 deg, d = 2.868 Å, intensity 788
hkl 1 3 2, 31.83 deg, d = 2.812 Å, intensity 433
hkl 0 6 2, 38.94 deg, d = 2.313 Å, intensity 261
hkl 2 4 2, 43.67 deg, d = 2.073 Å, intensity 628
hkl 1 5 4, 57.27 deg, d = 1.609 Å, intensity 234
hkl 2 0 4, 57.41 deg, d = 1.605 Å, intensity 211

Cell and atoms:
```
data_AcNd5Sm5
_chemical_formula_sum 'Ac2 Nd10 Sm10'
_space_group_name_H-M_alt 'C m m m'
_space_group_IT_number 65
_space_group_name_Hall '-C 2 2'
_cell_length_a 5.998
_cell_length_b 17.492
_cell_length_c 7.600
_cell_angle_alpha 90.00
_cell_angle_beta 90.00
_cell_angle_gamma 90.00
loop_
_atom_site_label
_atom_site_fract_x
_atom_site_fract_y
_atom_site_fract_z
Ac1 0.000 0.000 0.000
Nd1 0.000 0.197 0.000
Nd2 0.000 0.198 0.500
Nd3 0.000 0.500 0.000
Sm1 0.000 0.000 0.500
Sm2 0.000 0.378 0.285
```


The following is a simulated X-ray diffraction stick pattern of Ac8NdSm3. It was derived from DFT lattice parameters and positions (PBE), using Cu Kα X-rays.
Kinematic intensities with the Lorentz-polarization factor, no thermal factor.

Largest 10 diffraction maxima, sorted by position, 2θ from 15° to 90°:
hkl 1 3 0, 26.02 deg, d = 3.425 Å, intensity 160
hkl 0 0 4, 28.15 deg, d = 3.170 Å, intensity 1000
hkl 2 2 0, 28.78 deg, d = 3.102 Å, intensity 191
hkl 1 3 2, 29.66 deg, d = 3.012 Å, intensity 644
hkl 2 2 2, 32.14 deg, d = 2.785 Å, intensity 439
hkl 0 4 2, 33.96 deg, d = 2.640 Å, intensity 211
hkl 3 3 2, 46.18 deg, d = 1.966 Å, intensity 194
hkl 0 6 2, 49.24 deg, d = 1.851 Å, intensity 169
hkl 2 6 0, 53.51 deg, d = 1.712 Å, intensity 161
hkl 2 6 4, 61.57 deg, d = 1.506 Å, intensity 291

Cell and atoms:
```
data_Ac8NdSm3
_chemical_formula_sum 'Ac16 Nd2 Sm6'
_space_group_name_H-M_alt 'I m m m'
_space_group_IT_number 71
_space_group_name_Hall '-I 2 2'
_cell_length_a 7.338
_cell_length_b 11.618
_cell_length_c 12.657
_cell_angle_alpha 90.00
_cell_angle_beta 90.00
_cell_angle_gamma 90.00
loop_
_atom_site_label
_atom_site_fract_x
_atom_site_fract_y
_atom_site_fract_z
Ac1 0.000 0.161 0.250
Ac2 0.249 0.250 0.000
Nd1 0.000 0.000 0.500
Sm1 0.000 0.000 0.000
Sm2 0.000 0.500 0.249
```


The following is a simulated X-ray diffraction stick pattern of Ac2Nd4Sm. It was derived from DFT lattice parameters and positions (PBE), using Cu Kα X-rays.
Kinematic intensities with the Lorentz-polarization factor, no thermal factor.

Largest 10 diffraction maxima, sorted by position, 2θ from 15° to 90°:
hkl 0 2 2, 29.08 deg, d = 3.071 Å, intensity 420
hkl 1 2 -2, 29.75 deg, d = 3.003 Å, intensity 1000
hkl 1 -2 1, 29.85 deg, d = 2.994 Å, intensity 580
hkl 2 0 -1, 30.36 deg, d = 2.945 Å, intensity 554
hkl 1 0 3, 30.50 deg, d = 2.931 Å, intensity 377
hkl 0 1 3, 31.06 deg, d = 2.879 Å, intensity 138
hkl 1 3 1, 31.93 deg, d = 2.803 Å, intensity 131
hkl 1 4 0, 41.13 deg, d = 2.195 Å, intensity 146
hkl 1 0 -4, 43.09 deg, d = 2.099 Å, intensity 130
hkl 1 5 3, 60.37 deg, d = 1.533 Å, intensity 149

Cell and atoms:
```
data_Ac2Nd4Sm
_chemical_formula_sum 'Ac4 Nd8 Sm2'
_space_group_name_H-M_alt 'P 1'
_space_group_IT_number 1
_cell_length_a 6.877
_cell_length_b 8.782
_cell_length_c 9.336
_cell_angle_alpha 88.67
_cell_angle_beta 82.84
_cell_angle_gamma 71.56
loop_
_space_group_symop_operation_xyz
'x,y,z'
loop_
_atom_site_label
_atom_site_fract_x
_atom_site_fract_y
_atom_site_fract_z
Ac1 0.000 0.000 0.000
Ac2 0.053 0.530 0.046
Ac3 0.273 0.978 0.598
Ac4 0.741 0.104 0.427
Nd1 0.220 0.183 0.255
Nd2 0.262 0.411 0.537
Nd3 0.414 0.626 0.794
Nd4 0.566 0.830 0.092
Nd5 0.587 0.405 0.129
Nd6 0.728 0.589 0.423
Nd7 0.859 0.773 0.715
Nd8 0.873 0.345 0.755
Sm1 0.185 0.745 0.328
Sm2 0.461 0.177 0.861
```


The following is a simulated X-ray diffraction stick pattern of Ac7NdSm2. It was derived from DFT lattice parameters and positions (PBE), using Cu Kα X-rays.
Kinematic intensities with the Lorentz-polarization factor, no thermal factor.

Largest 10 diffraction maxima, sorted by position, 2θ from 15° to 90°:
hkl 2 0 1, 22.77 deg, d = 3.906 Å, intensity 325
hkl 0 4 1, 26.11 deg, d = 3.413 Å, intensity 680
hkl 2 4 0, 27.87 deg, d = 3.201 Å, intensity 1000
hkl 0 0 2, 29.30 deg, d = 3.048 Å, intensity 771
hkl 3 1 1, 30.65 deg, d = 2.917 Å, intensity 787
hkl 1 5 1, 32.11 deg, d = 2.788 Å, intensity 628
hkl 3 1 2, 40.15 deg, d = 2.246 Å, intensity 313
hkl 2 4 2, 40.88 deg, d = 2.207 Å, intensity 738
hkl 2 8 1, 50.07 deg, d = 1.822 Å, intensity 445
hkl 0 8 2, 53.74 deg, d = 1.706 Å, intensity 301

Cell and atoms:
```
data_Ac7NdSm2
_chemical_formula_sum 'Ac14 Nd2 Sm4'
_space_group_name_H-M_alt 'C m m m'
_space_group_IT_number 65
_space_group_name_Hall '-C 2 2'
_cell_length_a 10.173
_cell_length_b 16.474
_cell_length_c 6.097
_cell_angle_alpha 90.00
_cell_angle_beta 90.00
_cell_angle_gamma 90.00
loop_
_atom_site_label
_atom_site_fract_x
_atom_site_fract_y
_atom_site_fract_z
Ac1 0.000 0.000 0.000
Ac2 0.000 0.257 0.500
Ac3 0.185 0.376 0.000
Nd1 0.000 0.500 0.500
Sm1 0.000 0.201 0.000
```


The following is a simulated X-ray diffraction stick pattern of AcTb2NdSm. It was derived from DFT lattice parameters and positions (PBE), using Cu Kα X-rays.
Kinematic intensities with the Lorentz-polarization factor, no thermal factor.

Largest 10 diffraction maxima, sorted by position, 2θ from 15° to 90°:
hkl 1 1 1, 19.81 deg, d = 4.482 Å, intensity 330
hkl 1 3 1, 24.54 deg, d = 3.627 Å, intensity 469
hkl 2 2 0, 28.85 deg, d = 3.095 Å, intensity 1000
hkl 0 2 2, 29.33 deg, d = 3.045 Å, intensity 937
hkl 0 6 0, 30.70 deg, d = 2.912 Å, intensity 403
hkl 1 5 1, 32.07 deg, d = 2.791 Å, intensity 917
hkl 2 4 0, 33.98 deg, d = 2.638 Å, intensity 400
hkl 0 4 2, 34.40 deg, d = 2.607 Å, intensity 390
hkl 2 0 2, 38.84 deg, d = 2.319 Å, intensity 874
hkl 2 6 2, 50.31 deg, d = 1.814 Å, intensity 462

Cell and atoms:
```
data_AcTb2NdSm
_chemical_formula_sum 'Ac4 Tb8 Nd4 Sm4'
_space_group_name_H-M_alt 'C m c m'
_space_group_IT_number 63
_space_group_name_Hall '-C 2c 2'
_cell_length_a 6.620
_cell_length_b 17.472
_cell_length_c 6.498
_cell_angle_alpha 90.00
_cell_angle_beta 90.00
_cell_angle_gamma 90.00
loop_
_atom_site_label
_atom_site_fract_x
_atom_site_fract_y
_atom_site_fract_z
Ac1 0.000 0.157 0.250
Tb1 0.243 0.500 0.000
Nd1 0.000 0.347 0.250
Sm1 0.000 0.280 0.750
```


The following is a simulated X-ray diffraction stick pattern of AcTb2Nd6Sm. It was derived from DFT lattice parameters and positions (PBE), using Cu Kα X-rays.
Kinematic intensities with the Lorentz-polarization factor, no thermal factor.

Largest 10 diffraction maxima, sorted by position, 2θ from 15° to 90°:
hkl 2 2 -2, 27.37 deg, d = 3.258 Å, intensity 240
hkl 1 3 2, 27.51 deg, d = 3.242 Å, intensity 453
hkl 3 1 -1, 29.66 deg, d = 3.012 Å, intensity 1000
hkl 2 2 2, 30.14 deg, d = 2.965 Å, intensity 699
hkl 1 5 0, 30.27 deg, d = 2.952 Å, intensity 451
hkl 2 4 -1, 30.64 deg, d = 2.918 Å, intensity 392
hkl 1 5 -1, 31.33 deg, d = 2.855 Å, intensity 276
hkl 1 3 -3, 32.91 deg, d = 2.722 Å, intensity 407
hkl 2 2 -3, 33.70 deg, d = 2.660 Å, intensity 146
hkl 2 0 -6, 57.64 deg, d = 1.599 Å, intensity 149

Cell and atoms:
```
data_AcTb2Nd6Sm
_chemical_formula_sum 'Ac4 Tb8 Nd24 Sm4'
_space_group_name_H-M_alt 'C 1 2/c 1'
_space_group_IT_number 15
_cell_length_a 9.403
_cell_length_b 15.558
_cell_length_c 9.863
_cell_angle_alpha 90.00
_cell_angle_beta 96.42
_cell_angle_gamma 90.00
loop_
_space_group_symop_operation_xyz
'x,y,z'
'-x,-y,-z'
'-x,y,-z+1/2'
'x,-y,z+1/2'
'x+1/2,y+1/2,z'
'-x+1/2,-y+1/2,-z'
'-x+1/2,y+1/2,-z+1/2'
'x+1/2,-y+1/2,z+1/2'
loop_
_atom_site_label
_atom_site_fract_x
_atom_site_fract_y
_atom_site_fract_z
Ac1 0.000 0.028 0.250
Tb1 0.246 0.446 0.453
Nd1 0.065 0.185 0.946
Nd2 0.100 0.393 0.119
Nd3 0.214 0.229 0.318
Sm1 0.000 0.410 0.750
```


The following is a simulated X-ray diffraction stick pattern of AcTbNdSm2. It was derived from DFT lattice parameters and positions (PBE), using Cu Kα X-rays.
Kinematic intensities with the Lorentz-polarization factor, no thermal factor.

Largest 10 diffraction maxima, sorted by position, 2θ from 15° to 90°:
hkl 2 0 0, 21.19 deg, d = 4.192 Å, intensity 218
hkl 2 2 0, 25.74 deg, d = 3.461 Å, intensity 671
hkl 1 3 1, 27.13 deg, d = 3.287 Å, intensity 405
hkl 0 2 2, 28.31 deg, d = 3.153 Å, intensity 705
hkl 0 4 0, 29.13 deg, d = 3.066 Å, intensity 363
hkl 2 0 2, 32.39 deg, d = 2.764 Å, intensity 1000
hkl 1 3 2, 34.52 deg, d = 2.599 Å, intensity 231
hkl 2 4 1, 38.38 deg, d = 2.345 Å, intensity 258
hkl 2 4 2, 44.12 deg, d = 2.053 Å, intensity 362
hkl 0 0 4, 49.61 deg, d = 1.838 Å, intensity 288

Cell and atoms:
```
data_AcTbNdSm2
_chemical_formula_sum 'Ac4 Tb4 Nd4 Sm8'
_space_group_name_H-M_alt 'C m c m'
_space_group_IT_number 63
_space_group_name_Hall '-C 2c 2'
_cell_length_a 8.385
_cell_length_b 12.264
_cell_length_c 7.351
_cell_angle_alpha 90.00
_cell_angle_beta 90.00
_cell_angle_gamma 90.00
loop_
_atom_site_label
_atom_site_fract_x
_atom_site_fract_y
_atom_site_fract_z
Ac1 0.000 0.243 0.250
Tb1 0.000 0.306 0.750
Nd1 0.000 0.058 0.750
Sm1 0.194 0.500 0.000
```


The following is a simulated X-ray diffraction stick pattern of AcNd4Sm3Te8. It was derived from DFT lattice parameters and positions (PBE), using Cu Kα X-rays.
Kinematic intensities with the Lorentz-polarization factor, no thermal factor.

Largest 10 diffraction maxima, sorted by position, 2θ from 15° to 90°:
hkl 0 2 1, 23.12 deg, d = 3.848 Å, intensity 8
hkl 2 0 2, 24.16 deg, d = 3.684 Å, intensity 24
hkl 0 2 4, 27.97 deg, d = 3.190 Å, intensity 1000
hkl 2 0 8, 39.96 deg, d = 2.256 Å, intensity 766
hkl 0 4 2, 47.25 deg, d = 1.924 Å, intensity 14
hkl 0 0 12, 49.48 deg, d = 1.842 Å, intensity 275
hkl 0 4 8, 57.80 deg, d = 1.595 Å, intensity 129
hkl 2 2 12, 65.41 deg, d = 1.427 Å, intensity 355
hkl 0 2 16, 72.58 deg, d = 1.302 Å, intensity 260
hkl 4 0 16, 86.23 deg, d = 1.128 Å, intensity 84

Cell and atoms:
```
data_AcNd4Sm3Te8
_chemical_formula_sum 'Ac3 Nd12 Sm9 Te24'
_space_group_name_H-M_alt 'R -3 m'
_space_group_IT_number 166
_space_group_name_Hall '-R 3 2"'
_cell_length_a 9.0263
_cell_length_b 9.0263
_cell_length_c 22.0917
_cell_angle_alpha 90.00
_cell_angle_beta 90.00
_cell_angle_gamma 120.00
loop_
_atom_site_label
_atom_site_fract_x
_atom_site_fract_y
_atom_site_fract_z
Ac1 0.0000 0.0000 0.0000
Nd1 0.0000 0.0000 0.5000
Nd2 0.0000 0.5000 0.5000
Sm1 0.0000 0.5000 0.0000
Te1 0.0000 0.0000 0.2515
Te2 0.0084 0.5042 0.2495
```


The following is a simulated X-ray diffraction stick pattern of Ac3Nd4SmTe8. It was derived from DFT lattice parameters and positions (PBE), using Cu Kα X-rays.
Kinematic intensities with the Lorentz-polarization factor, no thermal factor.

Largest 10 diffraction maxima, sorted by position, 2θ from 15° to 90°:
hkl 4 0 0, 27.52 deg, d = 3.241 Å, intensity 1000
hkl 2 2 2, 39.25 deg, d = 2.295 Å, intensity 389
hkl 6 2 -2, 39.38 deg, d = 2.288 Å, intensity 382
hkl 4 4 0, 48.61 deg, d = 1.873 Å, intensity 210
hkl 8 0 -4, 48.82 deg, d = 1.865 Å, intensity 68
hkl 8 0 0, 56.82 deg, d = 1.620 Å, intensity 131
hkl 6 2 2, 64.18 deg, d = 1.451 Å, intensity 182
hkl 10 2 -2, 64.36 deg, d = 1.448 Å, intensity 177
hkl 2 6 2, 71.17 deg, d = 1.325 Å, intensity 133
hkl 4 0 4, 71.29 deg, d = 1.323 Å, intensity 66

Cell and atoms:
```
data_Ac3Nd4SmTe8
_chemical_formula_sum 'Ac6 Nd8 Sm2 Te16'
_space_group_name_H-M_alt 'C 1 2/m 1'
_space_group_IT_number 12
_cell_length_a 15.842
_cell_length_b 9.189
_cell_length_c 9.144
_cell_angle_alpha 90.00
_cell_angle_beta 125.08
_cell_angle_gamma 90.00
loop_
_space_group_symop_operation_xyz
'x,y,z'
'-x,-y,-z'
'-x,y,-z'
'x,-y,z'
'x+1/2,y+1/2,z'
'-x+1/2,-y+1/2,-z'
'-x+1/2,y+1/2,-z'
'x+1/2,-y+1/2,z'
loop_
_atom_site_label
_atom_site_fract_x
_atom_site_fract_y
_atom_site_fract_z
Ac1 0.000 0.000 0.000
Ac2 0.250 0.250 0.500
Nd1 0.000 0.000 0.500
Nd2 0.000 0.500 0.500
Nd3 0.250 0.250 0.000
Sm1 0.000 0.500 0.000
Te1 0.005 0.256 0.752
Te2 0.245 0.500 0.755
Te3 0.248 0.500 0.239
```


The following is a simulated X-ray diffraction stick pattern of Ac3NdSm3Te8. It was derived from DFT lattice parameters and positions (PBE), using Cu Kα X-rays.
Kinematic intensities with the Lorentz-polarization factor, no thermal factor.

Largest 10 diffraction maxima, sorted by position, 2θ from 15° to 90°:
hkl 0 2 4, 27.62 deg, d = 3.229 Å, intensity 1000
hkl 2 0 8, 39.13 deg, d = 2.302 Å, intensity 390
hkl 2 2 0, 39.79 deg, d = 2.265 Å, intensity 378
hkl 0 0 12, 48.01 deg, d = 1.895 Å, intensity 71
hkl 4 0 4, 49.13 deg, d = 1.854 Å, intensity 205
hkl 0 4 8, 57.04 deg, d = 1.615 Å, intensity 129
hkl 2 2 12, 64.06 deg, d = 1.453 Å, intensity 178
hkl 2 4 4, 64.99 deg, d = 1.435 Å, intensity 176
hkl 0 2 16, 70.47 deg, d = 1.336 Å, intensity 65
hkl 4 2 8, 71.80 deg, d = 1.315 Å, intensity 129

Cell and atoms:
```
data_Ac3NdSm3Te8
_chemical_formula_sum 'Ac9 Nd3 Sm9 Te24'
_space_group_name_H-M_alt 'R -3 m'
_space_group_IT_number 166
_space_group_name_Hall '-R 3 2"'
_cell_length_a 9.0610
_cell_length_b 9.0610
_cell_length_c 22.7403
_cell_angle_alpha 90.00
_cell_angle_beta 90.00
_cell_angle_gamma 120.00
loop_
_atom_site_label
_atom_site_fract_x
_atom_site_fract_y
_atom_site_fract_z
Ac1 0.0000 0.5000 0.0000
Nd1 0.0000 0.0000 0.5000
Sm1 0.0000 0.5000 0.5000
Te1 0.0000 0.0000 0.2438
Te2 0.0107 0.5054 0.7535
```


The following is a simulated X-ray diffraction stick pattern of AcNdSmTl. It was derived from DFT lattice parameters and positions (PBE), using Cu Kα X-rays.
Kinematic intensities with the Lorentz-polarization factor, no thermal factor.

Largest 10 diffraction maxima, sorted by position, 2θ from 15° to 90°:
hkl 0 2 0, 29.43 deg, d = 3.035 Å, intensity 633
hkl 1 1 1, 32.23 deg, d = 2.777 Å, intensity 1000
hkl 2 2 -2, 42.11 deg, d = 2.146 Å, intensity 243
hkl 4 0 0, 50.08 deg, d = 1.821 Å, intensity 74
hkl 1 3 1, 54.00 deg, d = 1.698 Å, intensity 473
hkl 4 2 0, 59.14 deg, d = 1.562 Å, intensity 135
hkl 0 4 0, 61.07 deg, d = 1.517 Å, intensity 82
hkl 4 2 -4, 69.23 deg, d = 1.357 Å, intensity 113
hkl 5 3 -3, 70.75 deg, d = 1.332 Å, intensity 106
hkl 1 5 1, 85.88 deg, d = 1.132 Å, intensity 98

Cell and atoms:
```
data_AcNdSmTl
_chemical_formula_sum 'Ac2 Nd2 Sm2 Tl2'
_space_group_name_H-M_alt 'C 1 m 1'
_space_group_IT_number 8
_cell_length_a 9.473
_cell_length_b 6.069
_cell_length_c 6.070
_cell_angle_alpha 90.00
_cell_angle_beta 129.73
_cell_angle_gamma 90.00
loop_
_space_group_symop_operation_xyz
'x,y,z'
'x,-y,z'
'x+1/2,y+1/2,z'
'x+1/2,-y+1/2,z'
loop_
_atom_site_label
_atom_site_fract_x
_atom_site_fract_y
_atom_site_fract_z
Ac1 0.000 0.000 0.000
Nd1 0.250 0.500 0.251
Sm1 0.250 0.000 0.749
Tl1 0.000 0.500 0.500
```


The following is a simulated X-ray diffraction stick pattern of AcNdSm2Tm4. It was derived from DFT lattice parameters and positions (PBE), using Cu Kα X-rays.
Kinematic intensities with the Lorentz-polarization factor, no thermal factor.

Largest 10 diffraction maxima, sorted by position, 2θ from 15° to 90°:
hkl 0 0 4, 26.54 deg, d = 3.358 Å, intensity 451
hkl 0 4 0, 29.96 deg, d = 2.982 Å, intensity 1000
hkl 0 4 4, 40.45 deg, d = 2.230 Å, intensity 885
hkl 2 6 0, 53.20 deg, d = 1.722 Å, intensity 202
hkl 2 6 4, 60.42 deg, d = 1.532 Å, intensity 272
hkl 4 4 0, 62.28 deg, d = 1.491 Å, intensity 83
hkl 0 4 8, 63.59 deg, d = 1.463 Å, intensity 228
hkl 4 4 4, 68.92 deg, d = 1.362 Å, intensity 121
hkl 2 6 8, 79.78 deg, d = 1.202 Å, intensity 121
hkl 0 8 8, 87.49 deg, d = 1.115 Å, intensity 99

Cell and atoms:
```
data_AcNdSm2Tm4
_chemical_formula_sum 'Ac4 Nd4 Sm8 Tm16'
_space_group_name_H-M_alt 'I m m a'
_space_group_IT_number 74
_space_group_name_Hall '-I 2b 2'
_cell_length_a 6.883
_cell_length_b 11.936
_cell_length_c 13.432
_cell_angle_alpha 90.00
_cell_angle_beta 90.00
_cell_angle_gamma 90.00
loop_
_atom_site_label
_atom_site_fract_x
_atom_site_fract_y
_atom_site_fract_z
Ac1 0.000 0.000 0.000
Nd1 0.250 0.250 0.250
Sm1 0.000 0.000 0.500
Sm2 0.250 0.250 0.750
Tm1 0.000 0.002 0.742
Tm2 0.238 0.250 0.501
```